Structure and calculated powder diffraction line list of Ag3Pt2 (DFT lattice parameters and positions (PBE); Cu Kα (λ = 1.5418 Å)).
Lines closer than 0.1° are merged.

Peak list (10 most intense, 10° ≤ 2θ ≤ 90°, sorted by position)
Position (°2θ)  I/Imax  (hkl)
13.8  12  1 0 0
19.5  2  1 1 0
29.4  2  1 1 1
38.3  100  2 1 1
44.5  48  0 0 2
45.7  2  2 2 1
50.1  2  3 1 1
64.8  31  1 3 2
77.8  36  2 1 3
82.0  11  4 2 2

Cell and atoms:
Unit cell a=6.4373 b=6.4373 c=4.0690 alpha=90.00 beta=90.00 gamma=90.00
Atoms (fractional coordinates):
Ag: 0.0000 0.5000 0.0000
Ag: 0.0973 0.7944 0.5000
Ag: 0.2056 0.0973 0.0000
Ag: 0.5000 0.0000 0.5000
Ag: 0.7944 0.9027 0.0000
Ag: 0.9027 0.2056 0.5000
Pt: 0.3116 0.4034 0.5000
Pt: 0.4034 0.6884 0.0000
Pt: 0.5966 0.3116 0.0000
Pt: 0.6884 0.5966 0.5000